1.
ZrPa2Se8: computed powder XRD pattern (Cu Kα (weighted mean of Kα1 and Kα2)), based on a GGA-PBE-relaxed structure.
Intensities are scaled so that the largest is 100.

```
data_ZrPa2Se8
_chemical_formula_sum 'Zr1 Pa2 Se8'
_space_group_name_H-M_alt 'P -3 m 1'
_space_group_IT_number 164
_space_group_name_Hall '-P 3 2"'
_cell_length_a 8.5350
_cell_length_b 8.5350
_cell_length_c 5.4660
_cell_angle_alpha 90.00
_cell_angle_beta 90.00
_cell_angle_gamma 120.00
loop_
_atom_site_label
_atom_site_fract_x
_atom_site_fract_y
_atom_site_fract_z
Zr1 0.0000 0.0000 0.0000
Pa1 0.3333 0.6667 0.2619
Se1 0.1500 0.3000 0.2725
Se2 0.3333 0.6667 0.7625
```

Peak list (12 most intense, 2θ from 15° to 90°, by angle)
- hkl 0 1 1, 2θ 20.2, rel. 90.8
- hkl 1 1 0, 2θ 20.8, rel. 100.0
- hkl 2 0 0, 2θ 24.1, rel. 44.0
- hkl 0 0 2, 2θ 32.8, rel. 32.5
- hkl 1 2 1, 2θ 36.1, rel. 67.1
- hkl 3 0 0, 2θ 36.5, rel. 21.9
- hkl 1 1 2, 2θ 39.1, rel. 17.9
- hkl 2 0 2, 2θ 41.1, rel. 42.0
- hkl 2 2 0, 2θ 42.4, rel. 64.2
- hkl 2 1 2, 2θ 46.5, rel. 31.7
- hkl 3 1 1, 2θ 47.4, rel. 15.8
- hkl 2 2 2, 2θ 54.6, rel. 40.6



2.
Pm4In3Pb: computed powder XRD pattern (Cu Kα (weighted mean of Kα1 and Kα2)), based on a GGA-PBE-relaxed structure.
Intensities are scaled so that the largest is 100.

```
data_Pm4In3Pb
_chemical_formula_sum 'Pm8 In6 Pb2'
_space_group_name_H-M_alt 'P m m a'
_space_group_IT_number 51
_cell_length_a 11.0928
_cell_length_b 7.3096
_cell_length_c 5.6688
_cell_angle_alpha 90.00
_cell_angle_beta 90.00
_cell_angle_gamma 90.00
loop_
_space_group_symop_operation_xyz
'x,y,z'
'-x,-y,-z'
'-x+1/2,-y,z'
'x+1/2,y,-z'
'x+1/2,-y,-z'
'-x+1/2,y,z'
'-x,y,-z'
'x,-y,z'
loop_
_atom_site_label
_atom_site_fract_x
_atom_site_fract_y
_atom_site_fract_z
Pm1 0.0000 0.2475 0.0000
Pm2 0.2500 0.2481 0.4197
In1 0.0000 0.0000 0.5000
In2 0.2500 0.0000 0.9080
In3 0.2500 0.5000 0.9128
Pb1 0.0000 0.5000 0.5000
```

Peak list (12 most intense, 2θ from 15° to 90°, by angle)
- hkl 1 2 1, 2θ 30.2, rel. 8.1
- hkl 0 0 2, 2θ 31.6, rel. 19.2
- hkl 4 0 0, 2θ 32.3, rel. 31.1
- hkl 1 0 2, 2θ 32.6, rel. 9.8
- hkl 2 2 1, 2θ 33.3, rel. 100.0
- hkl 4 0 2, 2θ 45.8, rel. 13.8
- hkl 0 4 0, 2θ 49.9, rel. 9.4
- hkl 2 2 3, 2θ 57.4, rel. 6.8
- hkl 6 2 1, 2θ 58.2, rel. 20.1
- hkl 4 4 0, 2θ 60.7, rel. 10.1
- hkl 4 4 2, 2θ 70.0, rel. 7.7
- hkl 2 6 1, 2θ 82.9, rel. 7.4